Computed X-ray diffraction stick pattern of Li3Al2Cu3 for a wavelength of 1.5418 Å, from a GGA-PBE-relaxed structure.
Kinematic intensities with the Lorentz-polarization factor, no thermal factor.

Cell and atoms:
Cell: 4.2229 4.2229 20.6795 Å, 90.00 90.00 120.00°
Space group R3m (No. 160, hexagonal axes)
Inequivalent atoms, fractional coordinates:
Li  0.0000  0.0000  0.0000 [3 per cell]
Li  0.0000  0.0000  0.1275 [3 per cell]
Li  0.0000  0.0000  0.5015 [3 per cell]
Al  0.0000  0.0000  0.2555 [3 per cell]
Al  0.0000  0.0000  0.7471 [3 per cell]
Cu  0.0000  0.0000  0.3764 [3 per cell]
Cu  0.0000  0.0000  0.6251 [3 per cell]
Cu  0.0000  0.0000  0.8755 [3 per cell]

Main lines, low angle first (15 to 90 degrees two-theta):
3.601 Å, 2θ 24.72, intensity 12, (1 0 1); 3.448 Å, 2θ 25.84, intensity 21, (0 0 6); 2.986 Å, 2θ 29.93, intensity 39, (1 0 4); 2.740 Å, 2θ 32.69, intensity 5, (0 1 5); 2.111 Å, 2θ 42.84, intensity 100, (1 1 0); 1.800 Å, 2θ 50.71, intensity 9, (1 1 6); 1.724 Å, 2θ 53.13, intensity 10, (0 0 12); 1.493 Å, 2θ 62.18, intensity 15, (2 0 8); 1.335 Å, 2θ 70.53, intensity 11, (1 1 12); 1.219 Å, 2θ 78.47, intensity 30, (3 0 0)


Computed X-ray diffraction stick pattern of La2Ta3S2O8 for a wavelength of 1.5418 Å, from a GGA-PBE-relaxed structure.
Kinematic intensities with the Lorentz-polarization factor, no thermal factor.

Cell and atoms:
Cell: 9.964 11.897 7.700 Å, 90.00 90.00 90.00°
Space group Pnnm (No. 58)
Inequivalent atoms, fractional coordinates:
La  0.207  0.164  0.000 [4 per cell]
La  0.230  0.155  0.500 [4 per cell]
Ta  0.000  0.500  0.286 [4 per cell]
Ta  0.136  0.919  0.250 [8 per cell]
S  0.018  0.347  0.500 [4 per cell]
S  0.019  0.368  0.000 [4 per cell]
O  0.056  0.103  0.256 [8 per cell]
O  0.134  0.946  0.000 [4 per cell]
O  0.151  0.951  0.500 [4 per cell]
O  0.197  0.525  0.265 [8 per cell]
O  0.213  0.777  0.250 [8 per cell]

Main lines, low angle first (15 to 90 degrees two-theta):
3.819 Å, 2θ 23.29, intensity 27, (2 2 0); 3.232 Å, 2θ 27.60, intensity 63, (0 2 2); 3.199 Å, 2θ 27.89, intensity 88, (3 1 0); 3.103 Å, 2θ 28.77, intensity 31, (2 3 0); 3.074 Å, 2θ 29.05, intensity 100, (1 2 2); 2.951 Å, 2θ 30.29, intensity 34, (2 1 2); 2.900 Å, 2θ 30.83, intensity 30, (3 2 0); 2.850 Å, 2θ 31.39, intensity 38, (1 4 0); 2.416 Å, 2θ 37.22, intensity 28, (2 3 2); 1.925 Å, 2θ 47.22, intensity 32, (0 0 4)


Computed X-ray diffraction stick pattern of AcLa8Dy4 for a wavelength of 1.5418 Å, from a GGA-PBE-relaxed structure.
Kinematic intensities with the Lorentz-polarization factor, no thermal factor.

Cell and atoms:
Cell: 6.812 6.867 11.863 Å, 76.11 75.75 63.65°
Space group P1 (No. 1)
Inequivalent atoms, fractional coordinates:
Ac  0.000  0.000  0.000 [1 per cell]
La  0.250  0.317  0.121 [1 per cell]
La  0.272  0.759  0.270 [1 per cell]
La  0.374  0.891  0.674 [1 per cell]
La  0.420  0.429  0.561 [1 per cell]
La  0.578  0.580  0.972 [1 per cell]
La  0.737  0.238  0.276 [1 per cell]
La  0.893  0.361  0.676 [1 per cell]
La  0.902  0.899  0.570 [1 per cell]
Dy  0.092  0.575  0.837 [1 per cell]
Dy  0.214  0.195  0.411 [1 per cell]
Dy  0.558  0.099  0.847 [1 per cell]
Dy  0.747  0.703  0.367 [1 per cell]

Main lines, low angle first (15 to 90 degrees two-theta):
3.055 Å, 2θ 29.24, intensity 63, (1 -1 2); 3.036 Å, 2θ 29.42, intensity 39, (-1 1 2); 2.903 Å, 2θ 30.80, intensity 85, (2 2 1); 2.888 Å, 2θ 30.97, intensity 100, (1 1 4); 2.867 Å, 2θ 31.19, intensity 67, (0 2 2); 2.858 Å, 2θ 31.29, intensity 43, (2 0 2); 2.835 Å, 2θ 31.55, intensity 52, (0 2 -1); 2.803 Å, 2θ 31.93, intensity 56, (2 0 -1); 2.784 Å, 2θ 32.15, intensity 75, (1 1 -3); 1.631 Å, 2θ 56.41, intensity 33, (1 3 6)


Computed X-ray diffraction stick pattern of TaTiMo for a wavelength of 1.5418 Å, from a GGA-PBE-relaxed structure.
Kinematic intensities with the Lorentz-polarization factor, no thermal factor.

Cell and atoms:
Cell: 9.733 4.494 5.656 Å, 90.00 125.10 90.00°
Space group C2/m (No. 12)
Inequivalent atoms, fractional coordinates:
Ta  0.016  0.000  0.263 [4 per cell]
Ti  0.174  0.500  0.098 [4 per cell]
Mo  0.160  0.500  0.582 [4 per cell]

Main lines, low angle first (15 to 90 degrees two-theta):
3.981 Å, 2θ 22.33, intensity 15, (2 0 0); 3.913 Å, 2θ 22.72, intensity 27, (1 1 0); 2.297 Å, 2θ 39.23, intensity 100, (1 1 -2); 2.286 Å, 2θ 39.42, intensity 72, (3 1 0); 2.247 Å, 2θ 40.13, intensity 32, (0 2 0); 1.634 Å, 2θ 56.32, intensity 11, (2 0 2); 1.606 Å, 2θ 57.36, intensity 21, (4 2 -2); 1.328 Å, 2θ 70.94, intensity 13, (5 1 -4); 1.322 Å, 2θ 71.37, intensity 20, (2 2 2); 1.306 Å, 2θ 72.34, intensity 13, (1 3 -2)


- Number 1 is which compound?
  Li3Al2Cu3